Na3CaTi3Fe5O16: calculated powder diffraction line list (CuKα), based on a structure optimized by DFT (PBE+U).

Peak list (10 most intense, 2θ from 5° to 70°, low angle first)
- 9.93°, rel. 44.3
- 29.40°, rel. 34.4
- 30.10°, rel. 74.2
- 31.03°, rel. 61.0
- 31.17°, rel. 58.0
- 40.51°, rel. 54.8
- 41.57°, rel. 76.2
- 42.54°, rel. 100.0
- 60.19°, rel. 27.7
- 60.99°, rel. 41.2

Atomic structure:
```
data_Na3CaTi3Fe5O16
_chemical_formula_sum 'Na3 Ca1 Ti3 Fe5 O16'
_space_group_name_H-M_alt 'P 1'
_space_group_IT_number 1
_space_group_name_Hall 'P 1'
_cell_length_a 8.6897
_cell_length_b 4.2503
_cell_length_c 8.9076
_cell_angle_alpha 90.00
_cell_angle_beta 90.58
_cell_angle_gamma 90.00
loop_
_atom_site_label
_atom_site_type_symbol
_atom_site_fract_x
_atom_site_fract_y
_atom_site_fract_z
Na1 Na 0.0000 0.0000 0.0000
Na2 Na 0.0137 0.5000 0.7114
Na3 Na 0.5058 0.0000 0.4431
Ca1 Ca 0.5138 0.5000 0.7312
Ti1 Ti 0.0115 0.0000 0.4276
Ti2 Ti 0.2690 0.5000 0.4012
Ti3 Ti 0.5095 0.0000 0.0130
Fe1 Fe 0.2133 0.5000 0.9972
Fe2 Fe 0.2529 0.0000 0.7321
Fe3 Fe 0.7216 0.5000 0.4433
Fe4 Fe 0.7717 0.5000 0.0384
Fe5 Fe 0.7977 0.0000 0.7149
O1 O 0.0100 0.0000 0.2426
O2 O 0.0165 0.0000 0.7098
O3 O 0.0542 0.5000 0.4572
O4 O 0.2429 0.0000 0.4725
O5 O 0.2541 0.5000 0.7754
O6 O 0.2678 0.5000 0.2076
O7 O 0.2780 0.0000 0.9693
O8 O 0.4708 0.0000 0.7220
O9 O 0.4842 0.5000 0.4661
O10 O 0.5246 0.0000 0.1979
O11 O 0.5458 0.5000 0.9846
O12 O 0.7394 0.0000 0.9370
O13 O 0.7622 0.5000 0.6717
O14 O 0.7675 0.5000 0.2446
O15 O 0.7830 0.0000 0.4858
O16 O 0.9922 0.5000 0.9778
```

NaCaYFeO6: calculated powder diffraction line list (CuKα), based on a structure optimized by DFT (PBE+U).

Peak list (10 most intense, 2θ from 5° to 70°, low angle first)
- 19.06°, rel. 4.4
- 22.04°, rel. 52.0
- 31.37°, rel. 100.0
- 36.96°, rel. 5.8
- 44.96°, rel. 48.1
- 49.24°, rel. 4.7
- 50.61°, rel. 17.8
- 55.84°, rel. 35.9
- 65.46°, rel. 25.9
- 69.99°, rel. 7.6

Atomic structure:
```
data_NaCaYFeO6
_chemical_formula_sum 'Na1 Ca1 Y1 Fe1 O6'
_space_group_name_H-M_alt 'P 1'
_space_group_IT_number 1
_space_group_name_Hall 'P 1'
_cell_length_a 5.7032
_cell_length_b 5.7032
_cell_length_c 5.7032
_cell_angle_alpha 60.00
_cell_angle_beta 60.00
_cell_angle_gamma 60.00
loop_
_atom_site_label
_atom_site_type_symbol
_atom_site_fract_x
_atom_site_fract_y
_atom_site_fract_z
Na1 Na 0.0000 0.0000 0.0000
Ca1 Ca 0.5000 0.5000 0.5000
Y1 Y 0.7500 0.7500 0.7500
Fe1 Fe 0.2500 0.2500 0.2500
O1 O 0.0210 0.0210 0.4790
O2 O 0.0210 0.4790 0.0210
O3 O 0.0210 0.4790 0.4790
O4 O 0.4790 0.0210 0.0210
O5 O 0.4790 0.0210 0.4790
O6 O 0.4790 0.4790 0.0210
```

Ca3Nd4Nb6Fe2O28: calculated powder diffraction line list (CuKα), based on a structure optimized by DFT (PBE+U).

Peak list (10 most intense, 2θ from 5° to 70°, low angle first)
- 18.82°, rel. 48.0
- 29.08°, rel. 94.4
- 29.18°, rel. 94.0
- 29.50°, rel. 88.7
- 29.71°, rel. 89.0
- 34.04°, rel. 100.0
- 48.30°, rel. 30.5
- 48.69°, rel. 29.2
- 48.84°, rel. 29.4
- 58.38°, rel. 36.1

Atomic structure:
```
data_Ca3Nd4Nb6Fe2O28
_chemical_formula_sum 'Ca3 Nd4 Nb6 Fe2 O28'
_space_group_name_H-M_alt 'P 1'
_space_group_IT_number 1
_space_group_name_Hall 'P 1'
_cell_length_a 7.3614
_cell_length_b 7.5374
_cell_length_c 10.5384
_cell_angle_alpha 89.79
_cell_angle_beta 89.57
_cell_angle_gamma 89.97
loop_
_atom_site_label
_atom_site_type_symbol
_atom_site_fract_x
_atom_site_fract_y
_atom_site_fract_z
Ca1 Ca 0.0000 0.0000 0.0000
Ca2 Ca 0.2315 0.7544 0.2542
Ca3 Ca 0.7685 0.2456 0.7458
Nd1 Nd 0.2304 0.2480 0.2540
Nd2 Nd 0.5000 0.0000 0.0000
Nd3 Nd 0.5000 0.5000 0.5000
Nd4 Nd 0.7696 0.7520 0.7460
Nb1 Nb 0.0000 0.0000 0.5000
Nb2 Nb 0.0000 0.5000 0.0000
Nb3 Nb 0.2613 0.2497 0.7488
Nb4 Nb 0.2665 0.7502 0.7492
Nb5 Nb 0.7335 0.2498 0.2508
Nb6 Nb 0.7387 0.7503 0.2512
Fe1 Fe 0.5000 0.0000 0.5000
Fe2 Fe 0.5000 0.5000 0.0000
O1 O 0.0513 0.6949 0.8719
O2 O 0.0519 0.3071 0.8741
O3 O 0.0578 0.8164 0.6331
O4 O 0.0591 0.1814 0.6329
O5 O 0.2449 0.0021 0.1288
O6 O 0.2511 0.0052 0.4269
O7 O 0.2516 0.4959 0.0693
O8 O 0.2591 0.0000 0.8282
O9 O 0.2696 0.5014 0.6889
O10 O 0.2739 0.5009 0.3666
O11 O 0.4491 0.1984 0.6233
O12 O 0.4499 0.2982 0.8802
O13 O 0.4533 0.7991 0.6230
O14 O 0.4553 0.7071 0.8762
O15 O 0.5447 0.2929 0.1238
O16 O 0.5467 0.2009 0.3770
O17 O 0.5501 0.7018 0.1198
O18 O 0.5509 0.8016 0.3767
O19 O 0.7261 0.4991 0.6334
O20 O 0.7304 0.4986 0.3111
O21 O 0.7409 0.0000 0.1718
O22 O 0.7484 0.5041 0.9307
O23 O 0.7489 0.9948 0.5731
O24 O 0.7551 0.9979 0.8712
O25 O 0.9409 0.8186 0.3671
O26 O 0.9422 0.1836 0.3669
O27 O 0.9481 0.6929 0.1259
O28 O 0.9487 0.3051 0.1281
```

CaNbFeSnO6: calculated powder diffraction line list (CuKα), based on a structure optimized by DFT (PBE+U).

Peak list (10 most intense, 2θ from 5° to 70°, low angle first)
- 19.20°, rel. 20.0
- 31.61°, rel. 100.0
- 37.25°, rel. 12.2
- 38.97°, rel. 5.3
- 45.31°, rel. 37.7
- 49.64°, rel. 5.7
- 56.30°, rel. 39.1
- 60.05°, rel. 4.6
- 66.02°, rel. 22.1
- 69.46°, rel. 4.7

Atomic structure:
```
data_CaNbFeSnO6
_chemical_formula_sum 'Ca1 Nb1 Fe1 Sn1 O6'
_space_group_name_H-M_alt 'P 1'
_space_group_IT_number 1
_space_group_name_Hall 'P 1'
_cell_length_a 5.6607
_cell_length_b 5.6607
_cell_length_c 5.6607
_cell_angle_alpha 60.00
_cell_angle_beta 60.00
_cell_angle_gamma 60.00
loop_
_atom_site_label
_atom_site_type_symbol
_atom_site_fract_x
_atom_site_fract_y
_atom_site_fract_z
Ca1 Ca 0.0000 0.0000 0.0000
Nb1 Nb 0.2500 0.2500 0.2500
Fe1 Fe 0.7500 0.7500 0.7500
Sn1 Sn 0.5000 0.5000 0.5000
O1 O 0.0001 0.0001 0.4999
O2 O 0.0001 0.4999 0.0001
O3 O 0.0001 0.4999 0.4999
O4 O 0.4999 0.0001 0.0001
O5 O 0.4999 0.0001 0.4999
O6 O 0.4999 0.4999 0.0001
```

SrCaNbFeO6: calculated powder diffraction line list (CuKα), based on a structure optimized by DFT (PBE+U).

Peak list (10 most intense, 2θ from 5° to 70°, low angle first)
- 19.21°, rel. 11.9
- 22.21°, rel. 7.3
- 31.62°, rel. 100.0
- 37.26°, rel. 7.0
- 38.98°, rel. 3.1
- 45.32°, rel. 40.2
- 49.65°, rel. 3.2
- 56.31°, rel. 38.0
- 66.02°, rel. 23.0
- 69.47°, rel. 2.5

Atomic structure:
```
data_SrCaNbFeO6
_chemical_formula_sum 'Sr1 Ca1 Nb1 Fe1 O6'
_space_group_name_H-M_alt 'P 1'
_space_group_IT_number 1
_space_group_name_Hall 'P 1'
_cell_length_a 5.6600
_cell_length_b 5.6600
_cell_length_c 5.6600
_cell_angle_alpha 60.00
_cell_angle_beta 60.00
_cell_angle_gamma 60.00
loop_
_atom_site_label
_atom_site_type_symbol
_atom_site_fract_x
_atom_site_fract_y
_atom_site_fract_z
Sr1 Sr 0.0000 0.0000 0.0000
Ca1 Ca 0.5000 0.5000 0.5000
Nb1 Nb 0.2500 0.2500 0.2500
Fe1 Fe 0.7500 0.7500 0.7500
O1 O 0.0003 0.0003 0.4997
O2 O 0.0003 0.4997 0.0003
O3 O 0.0003 0.4997 0.4997
O4 O 0.4997 0.0003 0.0003
O5 O 0.4997 0.0003 0.4997
O6 O 0.4997 0.4997 0.0003
```

CaNdFeSnO6: calculated powder diffraction line list (CuKα), based on a structure optimized by DFT (PBE+U).

Peak list (10 most intense, 2θ from 5° to 70°, low angle first)
- 19.22°, rel. 27.3
- 31.65°, rel. 100.0
- 37.29°, rel. 16.8
- 39.02°, rel. 3.5
- 45.36°, rel. 34.6
- 49.69°, rel. 7.9
- 56.36°, rel. 39.5
- 60.12°, rel. 6.0
- 66.09°, rel. 20.7
- 69.54°, rel. 6.0

Atomic structure:
```
data_CaNdFeSnO6
_chemical_formula_sum 'Ca1 Nd1 Fe1 Sn1 O6'
_space_group_name_H-M_alt 'P 1'
_space_group_IT_number 1
_space_group_name_Hall 'P 1'
_cell_length_a 5.6548
_cell_length_b 5.6548
_cell_length_c 5.6548
_cell_angle_alpha 60.00
_cell_angle_beta 60.00
_cell_angle_gamma 60.00
loop_
_atom_site_label
_atom_site_type_symbol
_atom_site_fract_x
_atom_site_fract_y
_atom_site_fract_z
Ca1 Ca 0.0000 0.0000 0.0000
Nd1 Nd 0.5000 0.5000 0.5000
Fe1 Fe 0.7500 0.7500 0.7500
Sn1 Sn 0.2500 0.2500 0.2500
O1 O 0.5033 0.5033 0.9967
O2 O 0.5033 0.9967 0.5033
O3 O 0.5033 0.9967 0.9967
O4 O 0.9967 0.5033 0.5033
O5 O 0.9967 0.5033 0.9967
O6 O 0.9967 0.9967 0.5033
```

CaFeNiP2O9: calculated powder diffraction line list (CuKα), based on a structure optimized by DFT (PBE+U).

Peak list (10 most intense, 2θ from 5° to 70°, low angle first)
- 13.42°, rel. 30.5
- 17.21°, rel. 35.8
- 24.73°, rel. 100.0
- 27.68°, rel. 57.2
- 30.84°, rel. 46.6
- 33.62°, rel. 33.6
- 35.71°, rel. 22.4
- 36.82°, rel. 21.1
- 39.54°, rel. 19.2
- 56.85°, rel. 27.6

Atomic structure:
```
data_CaFeNiP2O9
_chemical_formula_sum 'Ca4 Fe4 Ni4 P8 O36'
_space_group_name_H-M_alt 'P 1'
_space_group_IT_number 1
_space_group_name_Hall 'P 1'
_cell_length_a 14.2780
_cell_length_b 6.4552
_cell_length_c 7.4403
_cell_angle_alpha 90.00
_cell_angle_beta 90.00
_cell_angle_gamma 90.00
loop_
_atom_site_label
_atom_site_type_symbol
_atom_site_fract_x
_atom_site_fract_y
_atom_site_fract_z
Ca1 Ca 0.2197 0.2500 0.1171
Ca2 Ca 0.2803 0.7500 0.6171
Ca3 Ca 0.7197 0.2500 0.3829
Ca4 Ca 0.7803 0.7500 0.8829
Fe1 Fe 0.1193 0.2500 0.6513
Fe2 Fe 0.3807 0.7500 0.1513
Fe3 Fe 0.6193 0.2500 0.8487
Fe4 Fe 0.8807 0.7500 0.3487
Ni1 Ni 0.0000 0.0000 0.0000
Ni2 Ni 0.0000 0.5000 0.0000
Ni3 Ni 0.5000 0.0000 0.5000
Ni4 Ni 0.5000 0.5000 0.5000
P1 P 0.0638 0.7500 0.6460
P2 P 0.1910 0.7500 0.1119
P3 P 0.3090 0.2500 0.6119
P4 P 0.4362 0.2500 0.1460
P5 P 0.5638 0.7500 0.8540
P6 P 0.6910 0.7500 0.3881
P7 P 0.8090 0.2500 0.8881
P8 P 0.9362 0.2500 0.3540
O1 O 0.0107 0.2500 0.4990
O2 O 0.0152 0.7500 0.8331
O3 O 0.0541 0.2500 0.8712
O4 O 0.1310 0.5521 0.1051
O5 O 0.1310 0.9479 0.1051
O6 O 0.1318 0.5614 0.6342
O7 O 0.1318 0.9386 0.6342
O8 O 0.2318 0.2500 0.4614
O9 O 0.2474 0.2500 0.7865
O10 O 0.2526 0.7500 0.2865
O11 O 0.2682 0.7500 0.9614
O12 O 0.3682 0.0614 0.1342
O13 O 0.3682 0.4386 0.1342
O14 O 0.3690 0.0521 0.6051
O15 O 0.3690 0.4479 0.6051
O16 O 0.4459 0.7500 0.3712
O17 O 0.4848 0.2500 0.3331
O18 O 0.4893 0.7500 0.9990
O19 O 0.5107 0.2500 0.0010
O20 O 0.5152 0.7500 0.6669
O21 O 0.5541 0.2500 0.6288
O22 O 0.6310 0.5521 0.3949
O23 O 0.6310 0.9479 0.3949
O24 O 0.6318 0.5614 0.8658
O25 O 0.6318 0.9386 0.8658
O26 O 0.7318 0.2500 0.0386
O27 O 0.7474 0.2500 0.7135
O28 O 0.7526 0.7500 0.2135
O29 O 0.7682 0.7500 0.5386
O30 O 0.8682 0.0614 0.3658
O31 O 0.8682 0.4386 0.3658
O32 O 0.8690 0.0521 0.8949
O33 O 0.8690 0.4479 0.8949
O34 O 0.9459 0.7500 0.1288
O35 O 0.9848 0.2500 0.1669
O36 O 0.9893 0.7500 0.5010
```